The following is a computed powder diffraction line list of CsMg14Sn. It was derived from a structure optimized by DFT (GGA-PBE), using a wavelength of 1.5418 Å.
Intensities are scaled so that the largest is 100.

Largest 10 diffraction maxima, in order of rising 2θ, 2θ from 10° to 90°:
two_theta  intensity
15.5  23
16.7  22
17.6  35
22.9  21
30.8  28
31.4  25
32.0  19
33.8  34
35.2  100
35.7  43

Atomic structure:
```
16
Lattice="10.618 0.000 0.000 0.000 3.373 5.707 0.000 -3.373 5.707" Properties=species:S:1:pos:R:3 pbc="T T T"
Cs 0.000 0.000 0.000
Mg 0.000 -1.656 2.862
Mg 0.000 1.656 2.862
Mg 2.587 0.000 7.578
Mg 2.823 -1.613 4.698
Mg 2.823 1.613 4.698
Mg 2.859 0.000 1.957
Mg 5.309 0.000 5.694
Mg 5.309 -1.658 8.508
Mg 5.309 1.658 8.508
Mg 5.309 0.000 11.365
Mg 7.758 0.000 1.957
Mg 7.795 -1.613 4.698
Mg 7.795 1.613 4.698
Mg 8.030 0.000 7.578
Sn 0.000 0.000 5.485
```